Computed X-ray diffraction stick pattern of SmDyMnGa for Cu Kα, 1.54184 Å, from a structure optimized by DFT (PBE).
Peak positions follow from Bragg's law for the DFT cell and can differ from measured ones.

Principal peaks in the range 5° ≤ 2θ ≤ 70°, most intense first:
d 2.547, I = 100; d 1.470, I = 36; d 3.601, I = 21; d 1.801, I = 18; d 1.611, I = 9; d 2.079, I = 6

Structural model:
```
4
Lattice="0.000 3.601 3.601 3.601 0.000 3.601 3.601 3.601 0.000" Properties=species:S:1:pos:R:3 pbc="T T T"
Sm 0.000 0.000 0.000
Dy 3.601 3.601 3.601
Mn 5.402 5.402 5.402
Ga 1.801 1.801 1.801
```